Diffraction record for CaMoO2. The powder diffractogram is calculated, not measured: it uses a cell relaxed with GGA+U and Cu Ka.

Main lines, sorted by position (15 to 90 degrees two-theta):
- d 5.603, intensity 19.1
- d 3.241, intensity 12.3
- d 2.804, intensity 100.0
- d 2.285, intensity 50.9
- d 1.773, intensity 33.5
- d 1.621, intensity 16.4
- d 1.616, intensity 16.3
- d 1.400, intensity 30.5
- d 1.197, intensity 7.8
- d 1.144, intensity 10.6

Crystal structure
abc: 6.4628 6.4628 11.2388
angles: 90.00 90.00 90.00
Space group I4_1/amd (No. 141, origin choice 2)
Asymmetric unit:
Ca: 0.0000 0.0000 0.0000 x8
Mo: 0.0000 0.0000 0.5000 x8
O: 0.0000 0.0185 0.2170 x16

Diffraction record for LiVO3. The powder diffractogram is calculated, not measured: it uses a cell relaxed with GGA+U and Cu Ka.

Main lines, sorted by position (15 to 90 degrees two-theta):
- d 4.973, intensity 69.7
- d 3.588, intensity 100.0
- d 3.562, intensity 32.6
- d 3.555, intensity 96.2
- d 3.153, intensity 31.2
- d 2.898, intensity 30.4
- d 2.526, intensity 13.1
- d 1.952, intensity 12.4
- d 1.914, intensity 16.0
- d 1.449, intensity 15.8

Crystal structure
abc: 11.4097 10.1891 5.7976
angles: 90.00 119.34 90.00
Space group C2/c (No. 15)
Asymmetric unit:
Li: 0.0000 0.1853 0.2500 x4
Li: 0.0000 0.1974 0.7500 x4
V: 0.2117 0.4057 0.2131 x8
O: 0.1211 0.1238 0.6227 x8
O: 0.1235 0.2643 0.1253 x8
O: 0.1656 0.4978 0.4237 x8

Diffraction record for SrFeSnP3O12. The powder diffractogram is calculated, not measured: it uses a cell relaxed with GGA+U and Cu Ka.

Main lines, sorted by position (15 to 90 degrees two-theta):
- d 4.300, intensity 98.3
- d 3.759, intensity 56.4
- d 2.876, intensity 100.0
- d 2.482, intensity 36.8
- d 2.149, intensity 13.0
- d 2.089, intensity 20.1
- d 2.020, intensity 15.0
- d 1.879, intensity 34.5
- d 1.625, intensity 24.0
- d 1.498, intensity 23.8

Crystal structure
abc: 8.5998 8.5998 23.2135
angles: 90.00 90.00 120.00
Space group R-3 (No. 148, hexagonal axes)
Asymmetric unit:
Sr: 0.0000 0.0000 0.0000 x3
Sr: 0.0000 0.0000 0.5000 x3
Fe: 0.0000 0.0000 0.1516 x6
Sn: 0.0000 0.0000 0.3506 x6
P: 0.0034 0.7117 0.7511 x18
O: 0.0043 0.1827 0.5892 x18
O: 0.0272 0.8102 0.6927 x18
O: 0.0483 0.1992 0.9070 x18
O: 0.0547 0.2151 0.1985 x18

Diffraction record for FeOF. The powder diffractogram is calculated, not measured: it uses a cell relaxed with GGA+U and Cu Ka.

Main lines, sorted by position (15 to 90 degrees two-theta):
- d 3.378, intensity 93.8
- d 3.346, intensity 91.6
- d 2.594, intensity 100.0
- d 2.282, intensity 19.2
- d 1.757, intensity 53.5
- d 1.749, intensity 28.4
- d 1.747, intensity 24.6
- d 1.548, intensity 18.3
- d 1.412, intensity 20.0
- d 1.409, intensity 15.4

Crystal structure
abc: 9.4982 3.0959 14.2827
angles: 90.00 90.54 90.00
Space group Pm (No. 6)
Asymmetric unit:
Fe: 0.0000 0.0000 0.0000 x1
Fe: 0.0005 0.0000 0.6757 x1
Fe: 0.2614 0.5000 0.8151 x1
Fe: 0.2822 0.5000 0.1703 x1
Fe: 0.2841 0.5000 0.5023 x1
Fe: 0.4932 0.0000 0.6691 x1
Fe: 0.4990 0.0000 0.3359 x1
Fe: 0.5044 0.0000 0.0114 x1
Fe: 0.7193 0.5000 0.1726 x1
Fe: 0.7796 0.5000 0.8367 x1
Fe: 0.7844 0.5000 0.5071 x1
Fe: 0.9952 0.0000 0.3401 x1
O: 0.1605 0.0000 0.7701 x1
O: 0.3491 0.0000 0.2337 x1
O: 0.3563 0.0000 0.5693 x1
O: 0.4068 0.5000 0.0620 x1
O: 0.4107 0.5000 0.4014 x1
O: 0.4245 0.5000 0.7368 x1
O: 0.6041 0.5000 0.2763 x1
O: 0.6632 0.0000 0.0985 x1
O: 0.8582 0.0000 0.9078 x1
O: 0.8656 0.0000 0.5682 x1
O: 0.9102 0.5000 0.3957 x1
O: 0.9104 0.5000 0.7366 x1
F: 0.0992 0.5000 0.2663 x1
F: 0.1083 0.5000 0.6026 x1
F: 0.1083 0.5000 0.9440 x1
F: 0.1520 0.0000 0.1009 x1
F: 0.1587 0.0000 0.4348 x1
F: 0.3532 0.0000 0.9000 x1
F: 0.6042 0.5000 0.9310 x1
F: 0.6132 0.5000 0.6067 x1
F: 0.6654 0.0000 0.7745 x1
F: 0.6656 0.0000 0.4446 x1
F: 0.8574 0.0000 0.2281 x1
F: 0.9182 0.5000 0.0710 x1

Diffraction record for MgCoPO5. The powder diffractogram is calculated, not measured: it uses a cell relaxed with GGA+U and Cu Ka.

Main lines, sorted by position (15 to 90 degrees two-theta):
- d 4.952, intensity 23.5
- d 4.908, intensity 24.6
- d 3.133, intensity 63.9
- d 3.121, intensity 63.1
- d 3.066, intensity 100.0
- d 2.528, intensity 34.6
- d 2.511, intensity 32.2
- d 2.502, intensity 63.8
- d 2.072, intensity 25.1
- d 1.651, intensity 22.9

Crystal structure
abc: 5.2897 5.3416 6.8131
angles: 104.21 103.98 102.47
Space group P-1 (No. 2)
Asymmetric unit:
Mg: 0.1770 0.3324 0.2535 x2
Co: 0.5000 0.0000 0.0000 x1
Co: 0.5000 0.0000 0.5000 x1
P: 0.1631 0.3375 0.7471 x2
O: 0.1165 0.7095 0.4040 x2
O: 0.1642 0.1262 0.8682 x2
O: 0.2136 0.6289 0.9098 x2
O: 0.3778 0.3394 0.6253 x2
O: 0.4078 0.0833 0.2462 x2

Diffraction record for Li4Cr3Fe5O16. The powder diffractogram is calculated, not measured: it uses a cell relaxed with GGA+U and Cu Ka.

Main lines, sorted by position (15 to 90 degrees two-theta):
- d 4.756, intensity 100.0
- d 4.404, intensity 70.5
- d 4.380, intensity 44.3
- d 2.660, intensity 26.7
- d 2.477, intensity 39.6
- d 2.446, intensity 52.7
- d 2.404, intensity 36.0
- d 1.960, intensity 26.6
- d 1.945, intensity 39.5
- d 1.438, intensity 36.9

Crystal structure
abc: 9.9886 5.7083 9.5140
angles: 90.00 90.96 90.00
Space group Cm (No. 8)
Asymmetric unit:
Li: 0.0000 0.0000 0.0000 x2
Li: 0.0010 0.0000 0.4969 x2
Li: 0.1662 0.5000 0.8965 x2
Li: 0.3299 0.0000 0.3945 x2
Cr: 0.3291 0.5000 0.2175 x2
Cr: 0.4136 0.2413 0.7168 x4
Fe: 0.0829 0.2602 0.2172 x4
Fe: 0.1636 0.5000 0.4957 x2
Fe: 0.1666 0.0000 0.7169 x2
Fe: 0.3294 0.0000 0.9976 x2
O: 0.0001 0.0000 0.8129 x2
O: 0.0050 0.0000 0.3101 x2
O: 0.0171 0.5000 0.3421 x2
O: 0.0822 0.2428 0.6065 x4
O: 0.1593 0.0000 0.1112 x2
O: 0.1614 0.5000 0.1071 x2
O: 0.2391 0.2785 0.3328 x4
O: 0.2577 0.2185 0.8374 x4
O: 0.3261 0.0000 0.6064 x2
O: 0.3377 0.5000 0.6059 x2
O: 0.4174 0.2516 0.1049 x4
O: 0.4832 0.0000 0.8344 x2

Diffraction record for Na3Sc2Mo3O12. The powder diffractogram is calculated, not measured: it uses a cell relaxed with GGA+U and Cu Ka.

Main lines, sorted by position (15 to 90 degrees two-theta):
- d 5.803, intensity 27.9
- d 4.776, intensity 26.5
- d 3.891, intensity 27.5
- d 3.825, intensity 41.5
- d 3.510, intensity 55.5
- d 3.110, intensity 36.0
- d 3.042, intensity 28.4
- d 2.938, intensity 100.0
- d 2.903, intensity 55.7
- d 2.835, intensity 44.1

Crystal structure
abc: 12.4703 13.6247 7.2880
angles: 90.00 111.45 90.00
Space group C2/c (No. 15)
Asymmetric unit:
Na: 0.0000 0.0000 0.0000 x4
Na: 0.0000 0.2308 0.2500 x4
Na: 0.0000 0.4873 0.7500 x4
Sc: 0.2112 0.3428 0.1226 x8
Mo: 0.0000 0.2184 0.7500 x4
Mo: 0.2340 0.3880 0.6217 x8
O: 0.0368 0.2996 0.9721 x8
O: 0.1105 0.1304 0.7307 x8
O: 0.1164 0.0829 0.2909 x8
O: 0.1549 0.4891 0.0839 x8
O: 0.1702 0.3281 0.3743 x8
O: 0.2252 0.3118 0.8400 x8

Diffraction record for CrIrO6. The powder diffractogram is calculated, not measured: it uses a cell relaxed with GGA+U and Cu Ka.

Main lines, sorted by position (15 to 90 degrees two-theta):
- d 4.167, intensity 23.4
- d 4.069, intensity 22.2
- d 3.566, intensity 100.0
- d 2.565, intensity 10.1
- d 2.522, intensity 34.4
- d 2.170, intensity 10.2
- d 2.128, intensity 9.7
- d 1.781, intensity 10.6
- d 1.597, intensity 12.9
- d 1.594, intensity 12.7

Crystal structure
abc: 4.9496 5.1305 8.6855
angles: 90.00 124.65 90.00
Space group P2_1/c (No. 14)
Asymmetric unit:
Cr: 0.0000 0.0000 0.0000 x2
Ir: 0.5000 0.0000 0.5000 x2
O: 0.1294 0.2017 0.4459 x4
O: 0.2519 0.6907 0.4455 x4
O: 0.3536 0.0221 0.2453 x4

What is the formula in the seventh record?
Na3Sc2Mo3O12